For Ba2CoSe2Cl2O6, a DFT-relaxed cell (PBE+U, Alexandria) gives the theoretical PXRD pattern in this record (a wavelength of 1.5418 Å).
Lines closer than 0.1° are merged.

Top 12 peaks for 2θ = 5–70°, by angle:
index  two_theta  I/Imax
1 1 1  21.91  13.3
1 2 1  25.00  8.7
2 0 0  25.86  17.0
1 3 1  29.47  100.0
1 4 0  30.61  11.1
2 1 1  31.50  13.1
0 0 2  32.89  23.3
2 3 0  33.33  9.7
2 0 2  42.31  11.3
3 3 1  47.91  12.9
1 3 3  56.63  14.5
2 6 2  61.16  10.1

Structural model:
```
Ba2CoSe2Cl2O6
1.0
6.8895 0.0000 0.0000
0.0000 12.8980 0.0000
0.0000 0.0000 5.4464
Ba Co Se Cl O
4 2 4 4 12
Cartesian
1.3991 2.9811 0.0000 Ba
2.0457 9.4301 2.7232 Ba
4.8438 3.4679 2.7232 Ba
5.4904 9.9170 0.0000 Ba
0.0000 0.0000 2.7232 Co
3.4448 6.4490 0.0000 Co
1.7006 5.5084 2.7232 Se
1.7442 11.9574 0.0000 Se
5.1453 0.9406 0.0000 Se
5.1890 7.3897 2.7232 Se
1.2559 7.7712 0.0000 Cl
2.1889 1.3222 2.7232 Cl
4.7006 11.5758 2.7232 Cl
5.6336 5.1268 0.0000 Cl
0.6078 4.2014 2.7232 O
0.6861 11.4944 1.3170 O
0.6861 11.4944 4.1294 O
2.7586 5.0454 1.4062 O
2.7586 5.0454 4.0402 O
2.8369 10.6504 0.0000 O
4.0526 2.2476 0.0000 O
4.1309 7.8526 1.4062 O
4.1309 7.8526 4.0402 O
6.2034 1.4036 1.3170 O
6.2034 1.4036 4.1294 O
6.2817 8.6967 2.7232 O
```